Starting from the GGA+U geometry in Alexandria, the X-ray diffraction stick pattern of TlV3O8 was simulated for copper Kα.
No peak broadening, texture or thermal motion is included.

Structure:
Unit cell a=5.1569 b=8.7270 c=8.1675 alpha=90.00 beta=100.96 gamma=90.00
Element x y z (fractional)
Tl: 0.0091 0.2500 0.4451
Tl: 0.9910 0.7500 0.5549
V: 0.0750 0.2500 0.9345
V: 0.4557 0.5573 0.1770
V: 0.4557 0.9427 0.1770
V: 0.5443 0.0573 0.8230
V: 0.5443 0.4427 0.8230
V: 0.9250 0.7500 0.0655
O: 0.0769 0.7500 0.9081
O: 0.1333 0.6041 0.2110
O: 0.1333 0.8959 0.2110
O: 0.3277 0.0897 0.9970
O: 0.3277 0.4103 0.9970
O: 0.3985 0.2500 0.7541
O: 0.4038 0.5546 0.6709
O: 0.4038 0.9454 0.6709
O: 0.5962 0.0546 0.3291
O: 0.5962 0.4454 0.3291
O: 0.6015 0.7500 0.2459
O: 0.6723 0.5897 0.0030
O: 0.6723 0.9103 0.0030
O: 0.8667 0.1041 0.7890
O: 0.8667 0.3959 0.7890
O: 0.9231 0.2500 0.0919

Main lines, low angle first (2θ from 10° to 90°):
hkl, d_spacing, 2theta, I (rel.)
1 0 -1, 4.704, 18.87, 25
1 0 1, 3.955, 22.48, 22
0 2 1, 3.833, 23.21, 32
0 1 2, 3.643, 24.43, 43
1 0 -2, 3.482, 25.59, 33
1 2 0, 3.305, 26.98, 100
0 2 2, 2.952, 30.27, 34
0 3 4, 1.651, 55.66, 22


Starting from the GGA+U geometry in Alexandria, the X-ray diffraction stick pattern of TlV3O8 was simulated for copper Kα.
No peak broadening, texture or thermal motion is included.

Structure:
Unit cell a=5.5127 b=5.5127 c=7.7535 alpha=90.00 beta=90.00 gamma=120.00
Element x y z (fractional)
Tl: 0.0000 0.0000 0.0000
V: 0.0000 0.0000 0.5000
V: 0.3333 0.6667 0.7134
V: 0.6667 0.3333 0.2866
O: 0.1210 0.3163 0.6425
O: 0.1953 0.8790 0.6425
O: 0.3163 0.1953 0.3575
O: 0.3333 0.6667 0.9267
O: 0.6667 0.3333 0.0733
O: 0.6837 0.8047 0.6425
O: 0.8047 0.1210 0.3575
O: 0.8790 0.6837 0.3575

Main lines, low angle first (2θ from 10° to 90°):
hkl, d_spacing, 2theta, I (rel.)
1 0 0, 4.774, 18.59, 81
1 0 1, 4.065, 21.86, 83
0 1 2, 3.009, 29.69, 100
1 1 0, 2.756, 32.48, 61
1 1 1, 2.597, 34.54, 27
2 -1 2, 2.246, 40.14, 20
0 2 2, 2.033, 44.58, 37
3 -2 2, 1.636, 56.23, 34